Y2Er6Tm3: theoretical X-ray powder pattern (Cu Kα, 1.54184 Å), based on a cell relaxed with PBE.
Neutral-atom scattering factors, no anomalous dispersion.

Unit cell a=3.5160 b=3.5160 c=94.4654 alpha=90.00 beta=90.00 gamma=120.00
Space group R-3m (No. 166, hexagonal axes)
Unique sites:
Y 0.0000 0.0000 0.0457 [6 per cell]
Er 0.0000 0.0000 0.1366 [6 per cell]
Er 0.0000 0.0000 0.3182 [6 per cell]
Er 0.0000 0.0000 0.4098 [6 per cell]
Tm 0.0000 0.0000 0.2268 [6 per cell]
Tm 0.0000 0.0000 0.5000 [3 per cell]

Largest 10 diffraction maxima, most intense first, 10 to 90 degrees two-theta:
- (0 1 11), 2θ = 31.18°, d = 2.868 Å, rel. 100.0
- (1 0 22), 2θ = 36.16°, d = 2.484 Å, rel. 50.5
- (2 0 11), 2θ = 61.93°, d = 1.498 Å, rel. 31.8
- (1 1 0), 2θ = 52.02°, d = 1.758 Å, rel. 18.1
- (0 1 44), 2θ = 52.13°, d = 1.755 Å, rel. 17.7
- (1 0 55), 2θ = 62.04°, d = 1.496 Å, rel. 10.4
- (0 2 22), 2θ = 64.99°, d = 1.435 Å, rel. 9.4
- (1 2 11), 2θ = 85.04°, d = 1.141 Å, rel. 8.9
- (2 1 22), 2θ = 87.81°, d = 1.112 Å, rel. 8.3
- (1 1 66), 2θ = 87.98°, d = 1.110 Å, rel. 8.1